Structure and simulated powder XRD pattern of Mg6In5Pd (a structure optimized by DFT (GGA-PBE); λ = 1.5418 Å (Cu Kα)).
Intensities are scaled so that the largest is 100.

Atomic structure:
```
Mg6In5Pd
1.0
4.5755 0.0000 0.0000
0.0000 8.5231 0.0000
-2.2334 0.0000 6.7250
Mg In Pd
6 5 1
direct
0.0000 0.2430 0.0000 Mg
0.0000 0.7570 0.0000 Mg
0.3412 0.2310 0.6785 Mg
0.3412 0.7690 0.6785 Mg
0.6588 0.2310 0.3215 Mg
0.6588 0.7690 0.3215 Mg
0.1516 0.0000 0.3076 In
0.1704 0.5000 0.3407 In
0.5000 0.5000 0.0000 In
0.8296 0.5000 0.6593 In
0.8484 0.0000 0.6924 In
0.5000 0.0000 0.0000 Pd
```

Largest 6 diffraction maxima, sorted by position, 5° ≤ 2θ ≤ 70°:
2θ/deg  Rel. int.  index
20.8  77  0 2 0
27.7  37  1 0 1
28.0  36  1 0 -2
35.0  100  1 2 1
35.1  99  1 2 -2
39.4  37  2 0 -1